Starting from the GGA-PBE geometry in Alexandria, the powder X-ray diffraction pattern of Tm3TaN4 was calculated for Cu Kα (weighted mean of Kα1 and Kα2).
Neutral-atom scattering factors, no anomalous dispersion.

Structural model:
a = 5.7313 Å, b = 5.7313 Å, c = 3.2967 Å
α = 90.00°, β = 90.00°, γ = 109.16°
Fractional coordinates of all 8 atoms:
Tm1 0.0000 0.0000 0.0000
Tm2 0.0000 0.5000 0.5000
Tm3 0.5000 0.0000 0.5000
Ta1 0.5000 0.5000 0.0000
N1 0.2618 0.7382 0.0000
N2 0.2668 0.2668 0.5000
N3 0.7332 0.7332 0.5000
N4 0.7382 0.2618 0.0000

Principal peaks in the range 10° ≤ 2θ ≤ 80°, in order of rising 2θ:
33.09 deg, I 73
33.26 deg, I 72
38.50 deg, I 100
55.32 deg, I 11
55.60 deg, I 45
55.77 deg, I 11
66.10 deg, I 21
66.37 deg, I 32
69.45 deg, I 11
69.84 deg, I 11